Calculated powder X-ray diffraction pattern of LiPr3Al2 for Cu Kα (λ = 1.5418 Å), from a crystal structure in Alexandria, relaxed with PBE.

Cell and atoms:
```
data_LiPr3Al2
_symmetry_space_group_name_H-M 'P -3 m 1'
_symmetry_Int_Tables_number 164
_symmetry_space_group_name_Hall '-P 3 2"'
_cell_length_a 5.3352
_cell_length_b 5.3352
_cell_length_c 13.0840
_cell_angle_alpha 90.00
_cell_angle_beta 90.00
_cell_angle_gamma 120.00
loop_
_atom_site_label
_atom_site_type_symbol
_atom_site_fract_x
_atom_site_fract_y
_atom_site_fract_z
Li1 Li 0.3333 0.6667 0.1702
Pr1 Pr 0.0000 0.0000 0.2545
Pr2 Pr 0.3333 0.6667 0.4193
Pr3 Pr 0.3333 0.6667 0.9161
Al1 Al 0.0000 0.0000 0.0000
Al2 Al 0.0000 0.0000 0.5000
Al3 Al 0.3333 0.6667 0.6727
```

The 12 most intense peaks (10 to 90 degrees two-theta), in order of rising 2θ:
Position (°2θ), intensity
20.38, 0.8
23.57, 70.0
33.58, 100.0
41.44, 21.4
48.23, 17.9
54.36, 29.0
60.05, 37.0
70.59, 11.4
75.59, 13.5
80.48, 15.8
85.30, 8.1
89.99, 1.0


Calculated powder X-ray diffraction pattern of Li5Cd6In2 for Cu Kα (λ = 1.5418 Å), from a crystal structure in Alexandria, relaxed with PBE.

Cell and atoms:
```
data_Li5Cd6In2
_symmetry_space_group_name_H-M 'P b a m'
_symmetry_Int_Tables_number 55
_symmetry_space_group_name_Hall '-P 2 2ab'
_cell_length_a 9.6997
_cell_length_b 17.0302
_cell_length_c 3.2238
_cell_angle_alpha 90.00
_cell_angle_beta 90.00
_cell_angle_gamma 90.00
loop_
_atom_site_label
_atom_site_type_symbol
_atom_site_fract_x
_atom_site_fract_y
_atom_site_fract_z
Li1 Li 0.0000 0.0000 0.0000
Li2 Li 0.0897 0.2698 0.0000
Li3 Li 0.1925 0.5526 0.0000
Cd1 Cd 0.0610 0.4196 0.5000
Cd2 Cd 0.0800 0.1269 0.5000
Cd3 Cd 0.1858 0.8754 0.0000
In1 In 0.1589 0.7133 0.5000
```

The 12 most intense peaks (10 to 90 degrees two-theta), in order of rising 2θ:
Position (°2θ), intensity
20.86, 48.6
22.81, 25.6
24.14, 44.1
27.69, 34.7
31.06, 49.3
33.37, 22.5
37.04, 100.0
37.46, 49.0
38.14, 39.1
38.39, 24.0
39.69, 40.0
47.76, 21.0


Calculated powder X-ray diffraction pattern of Li2ThZn9 for Cu Kα (λ = 1.5418 Å), from a crystal structure in Alexandria, relaxed with PBE.

Cell and atoms:
```
data_Li2ThZn9
_symmetry_space_group_name_H-M 'R -3 m'
_symmetry_Int_Tables_number 166
_symmetry_space_group_name_Hall '-R 3 2"'
_cell_length_a 5.3328
_cell_length_b 5.3328
_cell_length_c 25.0854
_cell_angle_alpha 90.00
_cell_angle_beta 90.00
_cell_angle_gamma 120.00
loop_
_atom_site_label
_atom_site_type_symbol
_atom_site_fract_x
_atom_site_fract_y
_atom_site_fract_z
Li1 Li 0.0000 0.0000 0.1426
Th1 Th 0.0000 0.0000 0.0000
Zn1 Zn 0.0000 0.0000 0.3345
Zn2 Zn 0.0000 0.0000 0.5000
Zn3 Zn 0.0074 0.5037 0.9135
```

The 12 most intense peaks (10 to 90 degrees two-theta), in order of rising 2θ:
Position (°2θ), intensity
10.58, 75.9
23.93, 50.8
33.61, 22.1
34.58, 19.7
35.33, 35.7
39.18, 31.9
39.69, 26.8
40.11, 100.0
43.28, 28.3
64.50, 23.9
70.65, 19.7
86.60, 21.5


Calculated powder X-ray diffraction pattern of NaCaAgAu for Cu Kα (λ = 1.5418 Å), from a crystal structure in Alexandria, relaxed with PBE.

Cell and atoms:
```
data_NaCaAgAu
_symmetry_space_group_name_H-M 'P 4 m m'
_symmetry_Int_Tables_number 99
_symmetry_space_group_name_Hall 'P 4 -2'
_cell_length_a 3.7102
_cell_length_b 3.7102
_cell_length_c 6.8025
_cell_angle_alpha 90.00
_cell_angle_beta 90.00
_cell_angle_gamma 90.00
loop_
_atom_site_label
_atom_site_type_symbol
_atom_site_fract_x
_atom_site_fract_y
_atom_site_fract_z
Na1 Na 0.0000 0.0000 0.0000
Ca1 Ca 0.0000 0.0000 0.4870
Ag1 Ag 0.5000 0.5000 0.7610
Au1 Au 0.5000 0.5000 0.2447
```

The 12 most intense peaks (10 to 90 degrees two-theta), in order of rising 2θ:
Position (°2θ), intensity
13.01, 14.0
23.99, 57.7
26.20, 23.2
27.38, 10.7
34.18, 57.4
35.82, 100.0
43.57, 24.6
49.11, 20.3
55.37, 12.3
56.51, 11.5
62.26, 38.5
65.40, 16.0


Calculated powder X-ray diffraction pattern of PaPd7Pt2 for Cu Kα (λ = 1.5418 Å), from a crystal structure in Alexandria, relaxed with PBE.

Cell and atoms:
```
data_PaPd7Pt2
_symmetry_space_group_name_H-M 'C 1 2/m 1'
_symmetry_Int_Tables_number 12
_symmetry_space_group_name_Hall '-C 2y'
_cell_length_a 9.1293
_cell_length_b 8.3556
_cell_length_c 4.9009
_cell_angle_alpha 90.00
_cell_angle_beta 98.71
_cell_angle_gamma 90.00
loop_
_atom_site_label
_atom_site_type_symbol
_atom_site_fract_x
_atom_site_fract_y
_atom_site_fract_z
Pa1 Pa 0.0000 0.0000 0.0000
Pd1 Pd 0.0000 0.3387 0.0000
Pd2 Pd 0.0000 0.5000 0.5000
Pd3 Pd 0.2486 0.1668 0.2457
Pt1 Pt 0.0000 0.1680 0.5000
```

The 12 most intense peaks (10 to 90 degrees two-theta), in order of rising 2θ:
Position (°2θ), intensity
14.45, 21.0
19.68, 38.0
22.19, 14.6
37.84, 15.0
39.35, 100.0
39.47, 49.7
39.96, 48.0
45.08, 34.0
46.41, 62.5
66.36, 21.3
67.04, 20.7
79.32, 14.7


Calculated powder X-ray diffraction pattern of CdHg8 for Cu Kα (λ = 1.5418 Å), from a crystal structure in Alexandria, relaxed with PBE.

Cell and atoms:
```
data_CdHg8
_symmetry_space_group_name_H-M 'I 4/m m m'
_symmetry_Int_Tables_number 139
_symmetry_space_group_name_Hall '-I 4 2'
_cell_length_a 9.4442
_cell_length_b 9.4442
_cell_length_c 5.4115
_cell_angle_alpha 90.00
_cell_angle_beta 90.00
_cell_angle_gamma 90.00
loop_
_atom_site_label
_atom_site_type_symbol
_atom_site_fract_x
_atom_site_fract_y
_atom_site_fract_z
Cd1 Cd 0.0000 0.0000 0.0000
Hg1 Hg 0.0000 0.3309 0.0000
Hg2 Hg 0.1662 0.1662 0.5000
```

The 12 most intense peaks (10 to 90 degrees two-theta), in order of rising 2θ:
Position (°2θ), intensity
32.92, 100.0
33.11, 24.6
40.52, 28.6
53.29, 26.0
58.65, 9.8
59.02, 19.2
68.92, 24.3
69.03, 12.1
69.48, 3.0
83.64, 7.5
87.68, 3.4
87.99, 13.5